# 1
Diffraction record for InMo3Pb. The XRD peak list is calculated, not measured: it uses a cell relaxed with GGA-PBE and Cu Kα, 1.54184 Å.
No peak broadening, texture or thermal motion is included.

Most intense lines, 2θ from 10° to 90°, in order of falling intensity:
| 2θ (°) | I/Imax | (hkl) |
| --- | --- | --- |
| 35.84 | 100.0 | 2 0 0 |
| 51.59 | 69.4 | 2 2 0 |
| 25.14 | 64.5 | 1 1 0 |
| 17.70 | 50.8 | 1 0 0 |
| 86.96 | 32.6 | 4 2 0 |
| 44.28 | 29.8 | 2 1 1 |
| 40.25 | 26.7 | 2 1 0 |
| 64.42 | 23.6 | 2 2 2 |

Crystal structure
```
data_InMo3Pb
_chemical_formula_sum 'In1 Mo3 Pb1'
_space_group_name_H-M_alt 'P m -3 m'
_space_group_IT_number 221
_space_group_name_Hall '-P 4 2 3'
_cell_length_a 5.0105
_cell_length_b 5.0105
_cell_length_c 5.0105
_cell_angle_alpha 90.00
_cell_angle_beta 90.00
_cell_angle_gamma 90.00
loop_
_atom_site_label
_atom_site_fract_x
_atom_site_fract_y
_atom_site_fract_z
In1 0.0000 0.0000 0.0000
Mo1 0.0000 0.5000 0.5000
Pb1 0.5000 0.5000 0.5000
```

# 2
Diffraction record for InMo12PbS16. The XRD peak list is calculated, not measured: it uses a cell relaxed with GGA-PBE and Cu Kα, 1.54184 Å.
No peak broadening, texture or thermal motion is included.

Most intense lines, 2θ from 10° to 90°, in order of falling intensity:
| 2θ (°) | I/Imax | (hkl) |
| --- | --- | --- |
| 45.68 | 100.0 | 2 2 6 |
| 30.43 | 94.7 | 1 2 2 |
| 13.43 | 90.0 | 0 1 2 |
| 41.26 | 79.9 | 3 1 2 |
| 18.94 | 72.9 | 1 0 4 |
| 43.27 | 66.9 | 3 -2 8 |
| 19.13 | 65.0 | 1 1 0 |
| 40.69 | 64.3 | 1 0 10 |

Crystal structure
```
data_InMo12PbS16
_chemical_formula_sum 'In3 Mo36 Pb3 S48'
_space_group_name_H-M_alt 'R -3'
_space_group_IT_number 148
_space_group_name_Hall '-R 3'
_cell_length_a 9.2792
_cell_length_b 9.2792
_cell_length_c 23.0658
_cell_angle_alpha 90.00
_cell_angle_beta 90.00
_cell_angle_gamma 120.00
loop_
_atom_site_label
_atom_site_fract_x
_atom_site_fract_y
_atom_site_fract_z
In1 0.0000 0.0000 0.0000
Mo1 0.0140 0.1756 0.2999
Mo2 0.0145 0.1745 0.7994
Pb1 0.0000 0.0000 0.5000
S1 0.0000 0.0000 0.1214
S2 0.0000 0.0000 0.3784
S3 0.0104 0.3763 0.8748
S4 0.0121 0.3779 0.3746
```

# 3
Diffraction record for InMoPt2. The XRD peak list is calculated, not measured: it uses a cell relaxed with GGA-PBE and Cu Kα, 1.54184 Å.
No peak broadening, texture or thermal motion is included.

Most intense lines, 2θ from 10° to 90°, in order of falling intensity:
| 2θ (°) | I/Imax | (hkl) |
| --- | --- | --- |
| 38.34 | 100.0 | 1 0 2 |
| 44.12 | 34.1 | 1 1 0 |
| 77.29 | 25.9 | 2 1 2 |
| 65.20 | 20.0 | 1 1 4 |
| 11.08 | 18.0 | 0 0 1 |
| 45.44 | 14.7 | 0 0 4 |
| 64.17 | 11.2 | 2 0 0 |
| 79.19 | 10.8 | 1 0 6 |

Crystal structure
```
data_InMoPt2
_chemical_formula_sum 'In1 Mo1 Pt2'
_space_group_name_H-M_alt 'P 4 m m'
_space_group_IT_number 99
_cell_length_a 2.9026
_cell_length_b 2.9026
_cell_length_c 7.9839
_cell_angle_alpha 90.00
_cell_angle_beta 90.00
_cell_angle_gamma 90.00
loop_
_space_group_symop_operation_xyz
'x,y,z'
'-y,x,z'
'-x,-y,z'
'y,-x,z'
'-x,y,z'
'y,x,z'
'x,-y,z'
'-y,-x,z'
loop_
_atom_site_label
_atom_site_fract_x
_atom_site_fract_y
_atom_site_fract_z
In1 0.0000 0.0000 0.0000
Mo1 0.5000 0.5000 0.2702
Pt1 0.0000 0.0000 0.4903
Pt2 0.5000 0.5000 0.7497
```

# 4
Diffraction record for InMo6Se4S4. The XRD peak list is calculated, not measured: it uses a cell relaxed with GGA-PBE and Cu Kα, 1.54184 Å.
No peak broadening, texture or thermal motion is included.

Most intense lines, 2θ from 10° to 90°, in order of falling intensity:
| 2θ (°) | I/Imax | (hkl) |
| --- | --- | --- |
| 13.12 | 100.0 | 0 1 0 |
| 13.24 | 83.0 | 1 0 0 |
| 18.31 | 77.5 | 1 0 1 |
| 44.81 | 77.3 | 1 1 -3 |
| 40.64 | 76.7 | 2 1 -2 |
| 32.80 | 70.3 | -1 2 1 |
| 13.01 | 62.1 | 0 0 1 |
| 18.96 | 56.3 | 1 -1 0 |

Crystal structure
```
data_InMo6Se4S4
_chemical_formula_sum 'In1 Mo6 Se4 S4'
_space_group_name_H-M_alt 'P 1'
_space_group_IT_number 1
_cell_length_a 6.6945
_cell_length_b 6.7510
_cell_length_c 6.8110
_cell_angle_alpha 88.70
_cell_angle_beta 88.07
_cell_angle_gamma 88.17
loop_
_space_group_symop_operation_xyz
'x,y,z'
loop_
_atom_site_label
_atom_site_fract_x
_atom_site_fract_y
_atom_site_fract_z
In1 0.0000 0.0000 0.0000
Mo1 0.2464 0.5687 0.5236
Mo2 0.4369 0.4273 0.2017
Mo3 0.4594 0.2128 0.5540
Mo4 0.5733 0.7553 0.3830
Mo5 0.5993 0.5365 0.7325
Mo6 0.7773 0.3988 0.4074
Se1 0.1428 0.2333 0.3519
Se2 0.2655 0.3643 0.8524
Se3 0.3843 0.8591 0.7143
Se4 0.7655 0.6074 0.0792
S1 0.2688 0.7453 0.2100
S2 0.6342 0.1130 0.2417
S3 0.7671 0.2172 0.7210
S4 0.8806 0.7042 0.5687
```